# 1
For Li2PaH6, a PBE-relaxed structure gives the computed XRD peak list in this record (CuKα).

```
9
Lattice="6.0598 -1.8986 0.0000 6.0598 1.8986 0.0000 -1.1874 0.0000 3.6062" Properties=species:S:1:pos:R:3 pbc="T T T"
Li 2.7331 0.0000 0.9022
Li 8.1991 0.0000 2.7040
Pa -0.5937 0.0000 1.8031
H 0.9913 0.0000 0.3264
H 1.5487 0.0000 2.5077
H 4.4794 0.0000 1.4638
H 6.4528 0.0000 2.1424
H 9.3835 0.0000 1.0984
H 9.9409 0.0000 3.2798
```

The 12 most intense peaks (10 to 90 degrees two-theta), in order of rising 2θ:
2θ/deg  intensity
15.39  66
24.69  100
31.08  15
33.19  46
33.37  21
36.94  37
46.11  20
46.24  18
50.63  13
54.64  24
59.53  18
68.68  12



# 2
For Ce7Ga2Pb2, a PBE-relaxed structure gives the computed XRD peak list in this record (CuKα).

```
11
Lattice="4.4993 -5.6607 0.0000 4.4993 5.6607 0.0000 0.0000 0.0000 6.6330" Properties=species:S:1:pos:R:3 pbc="T T T"
Ce 0.0000 0.0000 0.0000
Ce 2.2496 2.8303 1.9421
Ce 2.2496 2.8303 4.6909
Ce 2.2496 -2.8303 1.9421
Ce 2.2496 -2.8303 4.6909
Ce 4.4993 0.0000 1.8942
Ce 4.4993 0.0000 4.7389
Ga 4.4993 2.4915 0.0000
Ga 4.4993 -2.4915 0.0000
Pb 1.4974 0.0000 3.3165
Pb 7.5011 0.0000 3.3165
```

The 12 most intense peaks (10 to 90 degrees two-theta), in order of rising 2θ:
2θ/deg  intensity
13.35  36
23.90  60
25.29  65
29.77  67
31.26  38
31.61  100
33.74  51
37.24  100
37.46  55
40.04  47
40.77  47
48.62  33



# 3
For Rb4AgI3, a PBE-relaxed structure gives the computed XRD peak list in this record (CuKα).

```
8
Lattice="5.2868 -7.4705 0.0000 5.2868 7.4705 0.0000 0.0000 0.0000 5.2711" Properties=species:S:1:pos:R:3 pbc="T T T"
Rb 2.6401 0.0000 2.6355
Rb 5.2868 3.7405 0.0000
Rb 5.2868 -3.7405 0.0000
Rb 7.9336 0.0000 2.6355
Ag 0.0000 0.0000 0.0000
I 2.6434 3.7352 2.6355
I 2.6434 -3.7352 2.6355
I 5.2868 0.0000 0.0000
```

The 12 most intense peaks (10 to 90 degrees two-theta), in order of rising 2θ:
2θ/deg  intensity
23.83  100
33.94  66
34.02  13
41.91  29
48.78  14
54.98  32
60.73  19
60.84  9
71.44  7
76.48  9
81.51  10
86.39  7



# 4
For Nd2Tc2O7, a PBE-relaxed structure gives the computed XRD peak list in this record (CuKα).

```
22
Lattice="0.0000 5.2689 5.2689 5.2689 0.0000 5.2689 5.2689 5.2689 0.0000" Properties=species:S:1:pos:R:3 pbc="T T T"
Nd 0.0000 0.0000 0.0000
Nd 2.6345 2.6345 0.0000
Nd 2.6345 0.0000 2.6345
Nd 0.0000 2.6345 2.6345
Tc 5.2689 2.6345 2.6345
Tc 2.6345 5.2689 2.6345
Tc 2.6345 2.6345 5.2689
Tc 5.2689 5.2689 5.2689
O 1.3172 1.3172 1.3172
O 3.9517 3.9517 1.7673
O 3.9517 1.7673 3.9517
O 6.1361 3.9517 3.9517
O 6.5862 6.5862 4.4018
O 6.5862 4.4018 6.5862
O 8.7705 6.5862 6.5862
O 1.7673 3.9517 3.9517
O 3.9517 6.1361 3.9517
O 3.9517 3.9517 6.1361
O 4.4018 6.5862 6.5862
O 6.5862 8.7705 6.5862
O 6.5862 6.5862 8.7705
O 9.2206 9.2206 9.2206
```

The 12 most intense peaks (10 to 90 degrees two-theta), in order of rising 2θ:
2θ/deg  intensity
14.56  2
29.36  100
34.03  32
37.19  5
44.68  2
48.89  48
51.29  1
58.06  43
60.91  10
71.64  7
79.25  17
81.74  14



> Which formula does entry 2 have?

Ce7Ga2Pb2